No. 1
Diffraction record for Hg6PtAuI2. The powder XRD pattern is simulated, not measured: it uses DFT lattice parameters and positions (PBE) and Cu Kα, 1.54184 Å.
Neutral-atom scattering factors, no anomalous dispersion.

Largest 12 diffraction maxima, in order of rising 2θ, 5° ≤ 2θ ≤ 70°:
Position (°2θ)  I/Imax
17.00  46.2
27.25  60.9
34.39  100.0
34.74  17.7
36.03  9.3
42.15  10.4
43.05  54.4
51.70  10.2
55.23  24.8
56.18  16.3
56.28  7.9
57.35  14.0

Cell: 6.9602 6.9602 6.9521 Å, 105.71 105.71 74.39°
Sites, in units of the cell vectors:
Hg1 0.2328 0.7492 0.7475
Hg2 0.2500 0.2500 0.7288
Hg3 0.2508 0.7672 0.2525
Hg4 0.7492 0.2328 0.7475
Hg5 0.7500 0.7500 0.2712
Hg6 0.7672 0.2508 0.2525
Pt1 0.0000 0.0000 0.5000
Au1 0.5000 0.5000 0.0000
I1 0.2582 0.2582 0.2370
I2 0.7418 0.7418 0.7630


No. 2
Diffraction record for In6HgAu10. The powder XRD pattern is simulated, not measured: it uses DFT lattice parameters and positions (PBE) and Cu Kα, 1.54184 Å.
Neutral-atom scattering factors, no anomalous dispersion.

Largest 12 diffraction maxima, in order of rising 2θ, 5° ≤ 2θ ≤ 70°:
Position (°2θ)  I/Imax
29.85  94.4
32.56  31.2
35.35  44.6
35.57  41.8
36.41  27.6
36.54  35.9
37.74  78.0
38.42  40.4
38.96  100.0
40.10  51.6
40.71  51.0
41.22  61.4

Cell: 7.4017 7.4518 7.7359 Å, 95.78 117.20 99.22°
Sites, in units of the cell vectors:
In1 0.0197 0.2188 0.0646
In2 0.3429 0.7296 0.4176
In3 0.4099 0.2240 0.8572
In4 0.5901 0.7760 0.1428
In5 0.6571 0.2704 0.5824
In6 0.9803 0.7812 0.9354
Hg1 0.0000 0.0000 0.5000
Au1 0.1061 0.4412 0.8231
Au2 0.1696 0.3781 0.4761
Au3 0.2641 0.8085 0.7692
Au4 0.3523 0.0227 0.2146
Au5 0.4336 0.4317 0.2174
Au6 0.5664 0.5683 0.7826
Au7 0.6477 0.9773 0.7854
Au8 0.7359 0.1915 0.2308
Au9 0.8304 0.6219 0.5239
Au10 0.8939 0.5588 0.1769


No. 3
Diffraction record for In2HgAu6. The powder XRD pattern is simulated, not measured: it uses DFT lattice parameters and positions (PBE) and Cu Kα, 1.54184 Å.
Neutral-atom scattering factors, no anomalous dispersion.

Largest 12 diffraction maxima, in order of rising 2θ, 5° ≤ 2θ ≤ 70°:
Position (°2θ)  I/Imax
30.09  73.1
36.14  27.1
36.38  31.6
36.72  100.0
37.63  14.3
39.36  14.5
43.17  15.8
43.71  22.3
44.76  17.9
45.41  28.6
46.85  20.3
50.78  15.1

Cell: 4.8961 4.9293 9.0417 Å, 80.35 87.12 61.25°
Sites, in units of the cell vectors:
In1 0.1751 0.0234 0.2938
In2 0.8249 0.9766 0.7062
Hg1 0.5000 0.5000 0.0000
Au1 0.1484 0.3327 0.6531
Au2 0.1652 0.1748 0.9763
Au3 0.4747 0.6881 0.6186
Au4 0.5253 0.3120 0.3814
Au5 0.8348 0.8252 0.0237
Au6 0.8516 0.6673 0.3469


No. 4
Diffraction record for InHgAu. The powder XRD pattern is simulated, not measured: it uses DFT lattice parameters and positions (PBE) and Cu Kα, 1.54184 Å.
Neutral-atom scattering factors, no anomalous dispersion.

Largest 12 diffraction maxima, in order of rising 2θ, 5° ≤ 2θ ≤ 70°:
Position (°2θ)  I/Imax
14.24  17.7
32.49  100.0
32.84  74.5
33.11  30.8
39.06  59.8
39.30  23.5
39.42  23.6
40.94  34.7
42.08  27.6
43.65  29.4
49.95  24.3
60.89  17.3

Cell: 3.6519 6.0883 7.0787 Å, 114.00 104.42 90.03°
Sites, in units of the cell vectors:
In1 0.1444 0.1417 0.2963
In2 0.8556 0.8583 0.7037
Hg1 0.1569 0.6474 0.3078
Hg2 0.8431 0.3526 0.6922
Au1 0.5005 0.2487 0.0021
Au2 0.4995 0.7513 0.9979


No. 5
Diffraction record for In3HgAu. The powder XRD pattern is simulated, not measured: it uses DFT lattice parameters and positions (PBE) and Cu Kα, 1.54184 Å.
Neutral-atom scattering factors, no anomalous dispersion.

Largest 12 diffraction maxima, in order of rising 2θ, 5° ≤ 2θ ≤ 70°:
Position (°2θ)  I/Imax
24.93  33.1
26.91  44.4
30.01  72.2
31.71  77.0
32.93  48.6
35.56  33.4
36.31  100.0
37.72  68.0
38.41  32.2
46.32  35.2
47.86  34.7
48.97  34.2

Cell: 5.6569 5.9548 7.9933 Å, 90.00 93.95 90.00°
Sites, in units of the cell vectors:
In1 0.0000 0.0000 0.0000
In2 0.0948 0.5000 0.5473
In3 0.4480 0.5000 0.9090
In4 0.5496 0.2496 0.2737
In5 0.5496 0.7504 0.2737
In6 0.6464 0.0000 0.6385
Hg1 0.0058 0.5000 0.1252
Hg2 0.0910 0.0000 0.4223
Au1 0.4892 0.0000 0.9608
Au2 0.6056 0.5000 0.5869


No. 6
Diffraction record for In4HgAu6. The powder XRD pattern is simulated, not measured: it uses DFT lattice parameters and positions (PBE) and Cu Kα, 1.54184 Å.
Neutral-atom scattering factors, no anomalous dispersion.

Largest 12 diffraction maxima, in order of rising 2θ, 5° ≤ 2θ ≤ 70°:
Position (°2θ)  I/Imax
12.93  6.7
22.49  12.3
23.31  15.1
29.81  28.7
32.62  28.0
34.66  33.5
39.21  29.7
39.98  100.0
47.90  6.5
53.32  19.8
62.11  18.6
62.48  7.1

Cell: 7.9072 7.9072 4.5948 Å, 90.00 90.00 120.00°
Sites, in units of the cell vectors:
In1 0.0000 0.0000 0.0000
In2 0.4384 0.4061 0.5000
In3 0.5939 0.0323 0.5000
In4 0.9677 0.5616 0.5000
Hg1 0.3333 0.6667 0.0000
Au1 0.0354 0.2396 0.5000
Au2 0.2043 0.9646 0.5000
Au3 0.4369 0.1488 0.0000
Au4 0.7119 0.5631 0.0000
Au5 0.7604 0.7957 0.5000
Au6 0.8512 0.2881 0.0000


No. 7
Diffraction record for In4Hg2Au. The powder XRD pattern is simulated, not measured: it uses DFT lattice parameters and positions (PBE) and Cu Kα, 1.54184 Å.
Neutral-atom scattering factors, no anomalous dispersion.

Largest 12 diffraction maxima, in order of rising 2θ, 5° ≤ 2θ ≤ 70°:
Position (°2θ)  I/Imax
21.85  44.3
23.59  32.7
28.21  22.4
34.67  100.0
38.32  94.4
42.25  34.4
47.25  12.9
52.62  30.4
58.34  13.3
59.64  10.1
66.95  29.4
69.31  24.8

Cell: 4.6977 4.6977 10.0599 Å, 90.00 90.00 120.00°
Sites, in units of the cell vectors:
In1 0.3333 0.6667 0.1034
In2 0.3333 0.6667 0.4251
In3 0.6667 0.3333 0.5749
In4 0.6667 0.3333 0.8966
Hg1 0.0000 0.0000 0.2940
Hg2 0.0000 0.0000 0.7060
Au1 0.0000 0.0000 0.0000


No. 8
Diffraction record for InHgSb2Au4. The powder XRD pattern is simulated, not measured: it uses DFT lattice parameters and positions (PBE) and Cu Kα, 1.54184 Å.
Neutral-atom scattering factors, no anomalous dispersion.

Largest 12 diffraction maxima, in order of rising 2θ, 5° ≤ 2θ ≤ 70°:
Position (°2θ)  I/Imax
25.53  4.7
28.46  3.7
31.22  50.5
31.36  100.0
41.04  24.3
44.83  75.3
48.59  15.1
52.45  23.8
58.89  16.8
65.11  6.2
65.43  12.4
68.75  10.6

Cell: 7.2240 6.8469 5.7788 Å, 69.21 62.39 48.40°
Sites, in units of the cell vectors:
In1 0.0000 0.0000 0.0000
Hg1 0.5000 0.5000 0.5000
Sb1 0.2500 0.2500 0.2500
Sb2 0.7500 0.7500 0.7500
Au1 0.0000 0.0000 0.5000
Au2 0.2464 0.2464 0.7536
Au3 0.5000 0.5000 0.0000
Au4 0.7536 0.7536 0.2464


No. 9
Diffraction record for Sr2InHg6Au. The powder XRD pattern is simulated, not measured: it uses DFT lattice parameters and positions (PBE) and Cu Kα, 1.54184 Å.
Neutral-atom scattering factors, no anomalous dispersion.

Largest 12 diffraction maxima, in order of rising 2θ, 5° ≤ 2θ ≤ 70°:
Position (°2θ)  I/Imax
18.52  28.5
26.85  28.6
30.74  100.0
32.40  49.0
32.91  44.0
33.09  22.8
33.85  44.7
34.99  26.4
35.92  31.6
36.32  46.9
40.42  31.0
43.25  23.1

Cell: 5.4588 7.0641 7.7577 Å, 82.67 72.85 87.81°
Sites, in units of the cell vectors:
Sr1 0.1327 0.2302 0.2983
Sr2 0.8673 0.7698 0.7017
In1 0.5000 0.5000 0.5000
Hg1 0.1593 0.7172 0.2635
Hg2 0.2880 0.5518 0.8996
Hg3 0.3457 0.0701 0.6781
Hg4 0.6543 0.9299 0.3219
Hg5 0.7120 0.4482 0.1004
Hg6 0.8407 0.2828 0.7365
Au1 0.5000 0.0000 0.0000


No. 10
Diffraction record for Tl6InHg2Au. The powder XRD pattern is simulated, not measured: it uses DFT lattice parameters and positions (PBE) and Cu Kα, 1.54184 Å.
Neutral-atom scattering factors, no anomalous dispersion.

Largest 12 diffraction maxima, in order of rising 2θ, 5° ≤ 2θ ≤ 70°:
Position (°2θ)  I/Imax
29.38  18.6
29.49  20.0
30.10  39.6
30.97  72.1
31.41  69.3
31.75  56.0
31.85  100.0
32.54  43.7
34.82  74.7
37.08  27.6
37.56  20.5
41.07  38.7

Cell: 6.0023 6.1922 8.8147 Å, 87.76 70.14 69.75°
Sites, in units of the cell vectors:
Tl1 0.0000 0.0000 0.0000
Tl2 0.0294 0.2050 0.6128
Tl3 0.0949 0.6562 0.3124
Tl4 0.5914 0.8718 0.7206
Tl5 0.6594 0.2608 0.3960
Tl6 0.7395 0.5826 0.0458
In1 0.4205 0.3842 0.8976
Hg1 0.1694 0.6397 0.6714
Hg2 0.3268 0.1185 0.1889
Au1 0.5274 0.7981 0.4018


No. 11
Diffraction record for La2HgIrAu. The powder XRD pattern is simulated, not measured: it uses DFT lattice parameters and positions (PBE) and Cu Kα, 1.54184 Å.
Neutral-atom scattering factors, no anomalous dispersion.

Largest 12 diffraction maxima, in order of rising 2θ, 5° ≤ 2θ ≤ 70°:
Position (°2θ)  I/Imax
20.17  52.4
29.42  29.5
30.22  23.1
31.21  100.0
32.20  75.1
32.64  29.7
37.83  60.9
38.75  25.8
39.51  39.3
41.00  32.5
42.11  71.7
57.89  22.2

Cell: 8.1685 4.2905 8.6247 Å, 90.00 116.69 90.00°
Sites, in units of the cell vectors:
La1 0.1106 0.2500 0.3320
La2 0.3164 0.7500 0.0693
La3 0.6836 0.2500 0.9307
La4 0.8894 0.7500 0.6680
Hg1 0.4378 0.7500 0.6156
Hg2 0.5622 0.2500 0.3844
Ir1 0.0534 0.2500 0.9175
Ir2 0.9466 0.7500 0.0825
Au1 0.2465 0.2500 0.7341
Au2 0.7535 0.7500 0.2659


No. 12
Diffraction record for KHgAu10. The powder XRD pattern is simulated, not measured: it uses DFT lattice parameters and positions (PBE) and Cu Kα, 1.54184 Å.
Neutral-atom scattering factors, no anomalous dispersion.

Largest 12 diffraction maxima, in order of rising 2θ, 5° ≤ 2θ ≤ 70°:
Position (°2θ)  I/Imax
9.00  8.1
18.05  43.2
31.53  14.9
36.57  28.2
37.14  100.0
38.81  36.4
41.59  65.5
43.12  10.0
54.39  18.2
59.88  24.3
65.83  22.4
69.18  16.9

Cell: 4.6403 5.6736 9.8300 Å, 90.00 90.00 90.00°
Sites, in units of the cell vectors:
K1 0.0000 0.0000 0.0000
Hg1 0.0000 0.5000 0.5000
Au1 0.0000 0.0000 0.3404
Au2 0.0000 0.0000 0.6596
Au3 0.0000 0.5000 0.1821
Au4 0.0000 0.5000 0.8179
Au5 0.5000 0.0000 0.5000
Au6 0.5000 0.2468 0.2482
Au7 0.5000 0.2468 0.7518
Au8 0.5000 0.5000 0.0000
Au9 0.5000 0.7532 0.2482
Au10 0.5000 0.7532 0.7518